# 1
For Ga3Ge3N5, a crystal structure in the Materials Project, relaxed with GGA-PBE gives the calculated PXRD pattern in this record (Cu Kα).
No peak broadening, texture or thermal motion is included.

Most intense lines, 15° ≤ 2θ ≤ 90°, by angle:
2θ 26.5, d = 3.369 Å, intensity 24
2θ 29.8, d = 2.998 Å, intensity 66
2θ 34.2, d = 2.623 Å, intensity 100
2θ 35.1, d = 2.558 Å, intensity 86
2θ 37.2, d = 2.418 Å, intensity 50
2θ 59.9, d = 1.544 Å, intensity 23

Atomic structure:
```
22
Lattice="5.4320 0.0000 0.0000 1.7559 6.5775 0.0000 0.8567 3.2173 8.7875" Properties=species:S:1:pos:R:3 pbc="T T T"
Ga 1.4798 1.7021 2.0146
Ga 3.3834 6.8999 7.9487
Ga 3.2332 6.0427 4.7407
Ga 4.8114 3.7521 4.0467
Ga 4.6611 2.8948 0.8388
Ga 6.5648 8.0927 6.7729
Ge 1.9595 4.4436 2.1854
Ge 1.8919 3.5573 7.7992
Ge 2.2481 2.6865 4.9953
Ge 5.7965 7.1083 3.7922
Ge 6.1526 6.2375 0.9883
Ge 6.0850 5.3511 6.6021
N 2.4077 8.6438 8.0785
N 2.2787 6.4294 6.3520
N 2.8633 4.2819 3.8506
N 3.8761 7.6180 3.6799
N 2.7127 2.9958 1.0633
N 5.3319 6.7990 7.7242
N 4.1685 2.1768 5.1076
N 5.1813 5.5129 4.9369
N 5.7659 3.3654 2.4355
N 5.6368 1.1510 0.7089
```


# 2
For NaGaGe2O6, a crystal structure in the Materials Project, relaxed with GGA-PBE gives the calculated PXRD pattern in this record (Cu Kα).
No peak broadening, texture or thermal motion is included.

Most intense lines, 15° ≤ 2θ ≤ 90°, by angle:
2θ 19.2, d = 4.611 Å, intensity 26
2θ 28.9, d = 3.085 Å, intensity 100
2θ 29.6, d = 3.016 Å, intensity 62
2θ 33.9, d = 2.647 Å, intensity 45
2θ 34.4, d = 2.607 Å, intensity 28
2θ 35.1, d = 2.556 Å, intensity 58

Atomic structure:
```
20
Lattice="5.0454 -4.4705 0.0000 5.0454 4.4705 0.0000 -1.6962 0.0000 5.2935" Properties=species:S:1:pos:R:3 pbc="T T T"
Na 3.7732 2.7001 3.9701
Na 4.6213 -2.7001 1.3234
Ga 4.6213 0.8469 1.3234
Ga 3.7732 -0.8469 3.9701
Ge 0.8205 0.8534 4.1068
Ge 1.6686 -0.8534 1.4600
Ge 6.7258 0.8534 3.8335
Ge 7.5739 -0.8534 1.1867
O -0.2967 0.0853 5.2510
O 3.0876 2.0225 1.6090
O 0.5514 -0.0853 2.6042
O 2.5207 0.7224 4.6220
O 6.1549 2.0225 1.0378
O 3.3689 -0.7224 1.9752
O 5.0256 0.7224 3.3183
O 2.2395 -2.0225 4.2558
O 5.8737 -0.7224 0.6716
O 7.8430 0.0853 2.6893
O 5.3068 -2.0225 3.6845
O 8.6912 -0.0853 0.0426
```